Starting from a structure optimized by DFT (GGA-PBE), the X-ray diffraction stick pattern of DyThTl6 was calculated for a wavelength of 1.5418 Å.
Peak positions follow from Bragg's law for the DFT cell and can differ from measured ones.

Principal peaks in the range 10 to 90 degrees two-theta, sorted by position:
two_theta	Rel. int.
27.95	1
32.38	100
37.56	51
54.17	36
64.54	42
67.79	12
80.14	4
80.24	2
89.13	19

```
DyThTl6
1.0
4.7906 0.0000 0.0000
0.0000 4.7906 0.0000
0.0000 0.0000 9.5712
Dy Th Tl
1 1 6
Cartesian
0.0000 0.0000 0.0000 Dy
0.0000 0.0000 4.7856 Th
0.0000 2.3953 2.3419 Tl
0.0000 2.3953 7.2293 Tl
2.3953 0.0000 2.3419 Tl
2.3953 0.0000 7.2293 Tl
2.3953 2.3953 0.0000 Tl
2.3953 2.3953 4.7856 Tl
```

***

Starting from a structure optimized by DFT (GGA-PBE), the X-ray diffraction stick pattern of Dy2Th2Tl7 was calculated for a wavelength of 1.5418 Å.
Peak positions follow from Bragg's law for the DFT cell and can differ from measured ones.

Principal peaks in the range 10 to 90 degrees two-theta, sorted by position:
two_theta	Rel. int.
23.63	24
28.84	15
29.63	16
31.02	55
31.62	23
33.00	100
35.37	15
36.57	21
38.25	64
40.97	14
49.76	14
63.49	16

```
Dy2Th2Tl7
1.0
5.8183 -4.8202 0.0000
5.8183 4.8202 0.0000
-0.8046 0.0000 6.0296
Dy Th Tl
2 2 7
Cartesian
5.8183 3.0248 0.0000 Dy
5.8183 -3.0248 0.0000 Dy
2.8715 0.0000 1.8760 Th
7.9607 0.0000 4.1536 Th
-0.4023 0.0000 3.0148 Tl
2.0617 1.6310 4.6556 Tl
2.0617 -1.6310 4.6556 Tl
4.7687 0.0000 4.5519 Tl
6.0635 0.0000 1.4777 Tl
8.7704 1.6310 1.3739 Tl
8.7704 -1.6310 1.3739 Tl
```

***

Starting from a structure optimized by DFT (GGA-PBE), the X-ray diffraction stick pattern of DyTm6Th3 was calculated for a wavelength of 1.5418 Å.
Peak positions follow from Bragg's law for the DFT cell and can differ from measured ones.

Principal peaks in the range 10 to 90 degrees two-theta, sorted by position:
two_theta	Rel. int.
29.09	29
30.61	26
31.65	99
32.24	100
32.53	78
32.72	45
32.94	25
34.07	33
52.45	27
59.95	24
62.91	24
63.08	24

```
DyTm6Th3
1.0
13.0159 0.0000 0.0000
0.0000 3.4897 0.0000
-4.5978 0.0000 13.7632
Dy Tm Th
2 12 6
Cartesian
0.1456 0.8724 2.7051 Dy
8.2725 2.6173 11.0580 Dy
1.7780 2.6173 0.1806 Tm
-1.6911 0.8724 11.1357 Tm
0.0369 0.8724 8.2690 Tm
1.5261 2.6173 5.5436 Tm
3.3796 0.8724 3.0836 Tm
1.4794 2.6173 10.8689 Tm
6.9386 0.8724 2.8943 Tm
5.0384 2.6173 10.6795 Tm
6.8920 0.8724 8.2196 Tm
8.3812 2.6173 5.4941 Tm
10.1092 2.6173 2.6275 Tm
6.6401 0.8724 13.5825 Tm
-1.7353 0.8724 5.4311 Th
4.9860 0.8724 0.0631 Th
3.3377 0.8724 8.1305 Th
5.0804 2.6173 5.6327 Th
3.4321 2.6173 13.7001 Th
10.1534 2.6173 8.3320 Th
```